Diffraction record for TmSi2Ni10. The powder diffraction line list is calculated, not measured: it uses a cell relaxed with PBE and Cu Kα (weighted mean of Kα1 and Kα2).
No peak broadening, texture or thermal motion is included.

Structural model:
a = 8.1339 Å, b = 8.1339 Å, c = 4.6555 Å
α = 90.00°, β = 90.00°, γ = 90.00°
Space group P4/nmm (No. 129, origin choice 2)
Symmetry-distinct sites (fractional):
Tm: 0.2500 0.2500 0.2221
Si: 0.0000 0.0000 0.5000
Ni: 0.0000 0.0000 0.0000
Ni: 0.0282 0.2500 0.7294
Ni: 0.1024 0.7500 0.7604

Top 8 peaks for 10 to 80 degrees two-theta, by angle:
| two_theta | I_rel |
| --- | --- |
| 31.20 | 21 |
| 34.88 | 10 |
| 38.42 | 34 |
| 38.68 | 16 |
| 44.61 | 100 |
| 44.87 | 35 |
| 50.44 | 13 |
| 74.17 | 12 |